For CsPrSnBr6, a cell relaxed with PBE gives the theoretical PXRD pattern in this record (CuKα).

Main lines, in order of rising 2θ (2θ = 5–70°):
2theta, I_rel
11.2, 31
17.3, 92
25.5, 73
32.3, 100
37.1, 34
40.2, 42
41.3, 22
50.2, 21
52.4, 19
68.0, 17

Crystal structure
Lattice parameters (Å, degrees): 7.7763 7.7763 7.9273 90.00 90.00 120.00
Space group P312 (No. 149)
One atom of each set of equivalent atoms:
Cs1 0.0000 0.0000 0.0000 [1 per cell]
Pr1 0.6667 0.3333 0.5000 [1 per cell]
Sn1 0.3333 0.6667 0.5000 [1 per cell]
Br1 0.3809 0.0068 0.7141 [6 per cell]

=====

For CsPtBr6, a cell relaxed with PBE gives the theoretical PXRD pattern in this record (CuKα).

Main lines, in order of rising 2θ (2θ = 5–70°):
2theta, I_rel
12.4, 35
15.1, 28
16.1, 100
23.6, 55
29.6, 33
29.9, 18
30.4, 48
35.9, 73
47.1, 24
48.5, 29

Crystal structure
Lattice parameters (Å, degrees): 11.765 7.027 9.052 90.00 128.18 90.00
Space group C2/m (No. 12)
One atom of each set of equivalent atoms:
Cs1 0.000 0.000 0.000 [2 per cell]
Pt1 0.000 0.500 0.500 [2 per cell]
Br1 0.135 0.252 0.752 [8 per cell]
Br2 0.195 0.500 0.468 [4 per cell]

=====

For Cs6PtBr, a cell relaxed with PBE gives the theoretical PXRD pattern in this record (CuKα).

Main lines, in order of rising 2θ (2θ = 5–70°):
2theta, I_rel
13.1, 53
13.2, 100
21.4, 37
21.6, 42
22.0, 51
22.4, 50
26.6, 38
29.0, 36
29.7, 63
33.3, 32

Crystal structure
Lattice parameters (Å, degrees): 9.187 9.806 16.299 90.00 123.88 90.00
Space group P2_1/c (No. 14)
One atom of each set of equivalent atoms:
Cs1 0.113 0.035 0.238 [4 per cell]
Cs2 0.233 0.705 0.060 [4 per cell]
Cs3 0.361 0.182 0.060 [4 per cell]
Pt1 0.000 0.000 0.000 [2 per cell]
Br1 0.500 0.000 0.500 [2 per cell]

=====

For CsYPtBr6, a cell relaxed with PBE gives the theoretical PXRD pattern in this record (CuKα).

Main lines, in order of rising 2θ (2θ = 5–70°):
2theta, I_rel
10.6, 62
17.9, 100
27.3, 57
33.2, 97
40.3, 27
41.3, 21
43.9, 17
44.1, 36
50.9, 21
56.3, 18

Crystal structure
Lattice parameters (Å, degrees): 7.1063 7.1063 8.3219 90.00 90.00 120.00
Space group P312 (No. 149)
One atom of each set of equivalent atoms:
Cs1 0.0000 0.0000 0.0000 [1 per cell]
Y1 0.6667 0.3333 0.5000 [1 per cell]
Pt1 0.3333 0.6667 0.5000 [1 per cell]
Br1 0.0133 0.3746 0.6911 [6 per cell]

=====

For CsPu2Br8, a cell relaxed with PBE gives the theoretical PXRD pattern in this record (CuKα).

Main lines, in order of rising 2θ (2θ = 5–70°):
2theta, I_rel
10.0, 100
18.0, 18
20.6, 87
32.6, 92
35.3, 23
36.4, 46
37.8, 17
39.9, 39
42.1, 29
63.1, 27

Crystal structure
Lattice parameters (Å, degrees): 6.988 6.988 8.879 90.00 90.00 90.00
Space group P4/mmm (No. 123)
One atom of each set of equivalent atoms:
Cs1 0.000 0.000 0.000 [1 per cell]
Pu1 0.000 0.500 0.500 [2 per cell]
Br1 0.252 0.252 0.309 [8 per cell]

=====

For Cs3Pu6Br20, a cell relaxed with PBE gives the theoretical PXRD pattern in this record (CuKα).

Main lines, in order of rising 2θ (2θ = 5–70°):
2theta, I_rel
11.5, 24
19.9, 78
23.0, 35
30.1, 62
32.8, 100
34.3, 21
34.8, 26
38.7, 83
51.6, 24
58.5, 48

Crystal structure
Lattice parameters (Å, degrees): 15.450 15.450 15.450 90.00 90.00 90.00
Space group Fm-3m (No. 225)
One atom of each set of equivalent atoms:
Cs1 0.000 0.000 0.000 [4 per cell]
Cs2 0.250 0.250 0.250 [8 per cell]
Pu1 0.000 0.000 0.267 [24 per cell]
Br1 0.000 0.168 0.168 [48 per cell]
Br2 0.114 0.114 0.386 [32 per cell]

=====

For CsPuTeBr2, a cell relaxed with PBE gives the theoretical PXRD pattern in this record (CuKα).

Main lines, in order of rising 2θ (2θ = 5–70°):
2theta, I_rel
8.8, 60
17.7, 23
22.4, 16
26.7, 28
28.4, 100
36.0, 43
37.2, 16
39.8, 18
40.4, 16
42.5, 21

Crystal structure
Lattice parameters (Å, degrees): 4.533 20.021 8.939 90.00 90.00 90.00
Space group Cmcm (No. 63)
One atom of each set of equivalent atoms:
Cs1 0.000 0.208 0.250 [4 per cell]
Pu1 0.000 0.500 0.000 [4 per cell]
Te1 0.000 0.005 0.250 [4 per cell]
Br1 0.000 0.358 0.019 [8 per cell]

=====

For Cs4PuTl3Br12, a cell relaxed with PBE gives the theoretical PXRD pattern in this record (CuKα).

Main lines, in order of rising 2θ (2θ = 5–70°):
2theta, I_rel
14.8, 40
21.0, 91
25.8, 17
29.9, 100
33.5, 22
36.8, 44
42.8, 74
48.1, 22
53.1, 26
57.7, 26

Crystal structure
Lattice parameters (Å, degrees): 11.953 11.953 11.953 90.00 90.00 90.00
Space group Im-3m (No. 229)
One atom of each set of equivalent atoms:
Cs1 0.250 0.250 0.250 [8 per cell]
Pu1 0.000 0.000 0.000 [2 per cell]
Tl1 0.000 0.000 0.500 [6 per cell]
Br1 0.000 0.000 0.235 [12 per cell]
Br2 0.000 0.250 0.500 [12 per cell]